Diffraction record for Pr4AlFe33. The powder diffractogram is simulated, not measured: it uses a cell relaxed with PBE and Cu Kα, 1.54184 Å.
No peak broadening, texture or thermal motion is included.

Top 10 peaks for 2θ = 10–90°, by angle:
| d [Å] | Position (°2θ) | Rel. int. |
| --- | --- | --- |
| 3.004 | 29.74 | 38.9 |
| 2.484 | 36.16 | 36.9 |
| 2.404 | 37.40 | 28.1 |
| 2.151 | 42.00 | 63.0 |
| 2.138 | 42.28 | 100.0 |
| 2.099 | 43.11 | 52.6 |
| 1.914 | 47.50 | 23.4 |
| 1.515 | 61.16 | 15.2 |
| 1.501 | 61.80 | 19.4 |
| 1.242 | 76.74 | 15.6 |

Atomic structure:
```
data_Pr4AlFe33
_chemical_formula_sum 'Pr4 Al1 Fe33'
_cell_length_a 6.4984
_cell_length_b 6.4984
_cell_length_c 13.0252
_cell_angle_alpha 97.17
_cell_angle_beta 97.17
_cell_angle_gamma 82.85
_symmetry_space_group_name_H-M 'P 1'
_symmetry_Int_Tables_number 1
_symmetry_space_group_name_Hall 'P 1'
loop_
_atom_site_label
_atom_site_type_symbol
_atom_site_fract_x
_atom_site_fract_y
_atom_site_fract_z
_atom_site_occupancy
Pr1 Pr 0.0000 0.0000 0.0000 1
Pr2 Pr 0.0021 0.0021 0.5013 1
Pr3 Pr 0.6861 0.6861 0.1581 1
Pr4 Pr 0.6908 0.6908 0.6578 1
Al1 Al 0.4393 0.4393 0.7821 1
Fe1 Fe 0.0019 0.4963 0.0000 1
Fe2 Fe 0.0034 0.0034 0.7534 1
Fe3 Fe 0.0030 0.4979 0.5004 1
Fe4 Fe 0.0035 0.0035 0.2526 1
Fe5 Fe 0.0558 0.3445 0.1853 1
Fe6 Fe 0.0564 0.6318 0.3299 1
Fe7 Fe 0.0580 0.3449 0.6871 1
Fe8 Fe 0.0579 0.6297 0.8293 1
Fe9 Fe 0.1901 0.6869 0.6595 1
Fe10 Fe 0.1905 0.6862 0.1592 1
Fe11 Fe 0.2454 0.2454 0.8797 1
Fe12 Fe 0.2478 0.2478 0.3776 1
Fe13 Fe 0.3436 0.3436 0.0798 1
Fe14 Fe 0.3443 0.3443 0.5794 1
Fe15 Fe 0.3439 0.6301 0.9727 1
Fe16 Fe 0.3445 0.6321 0.4741 1
Fe17 Fe 0.3435 0.8441 0.3297 1
Fe18 Fe 0.3442 0.8441 0.8297 1
Fe19 Fe 0.3445 0.0558 0.1853 1
Fe20 Fe 0.3449 0.0580 0.6871 1
Fe21 Fe 0.4405 0.4405 0.2813 1
Fe22 Fe 0.4963 0.0019 0.0000 1
Fe23 Fe 0.4979 0.0030 0.5004 1
Fe24 Fe 0.6297 0.0579 0.8293 1
Fe25 Fe 0.6301 0.3439 0.9727 1
Fe26 Fe 0.6318 0.0564 0.3299 1
Fe27 Fe 0.6321 0.3445 0.4741 1
Fe28 Fe 0.6844 0.6844 0.4065 1
Fe29 Fe 0.6850 0.6850 0.9067 1
Fe30 Fe 0.6862 0.1905 0.1592 1
Fe31 Fe 0.6869 0.1901 0.6595 1
Fe32 Fe 0.8441 0.3435 0.3297 1
Fe33 Fe 0.8441 0.3442 0.8297 1
```

Diffraction record for PrAl8Fe2. The powder diffractogram is simulated, not measured: it uses a cell relaxed with PBE and Cu Kα, 1.54184 Å.
No peak broadening, texture or thermal motion is included.

Top 10 peaks for 2θ = 10–90°, by angle:
| d [Å] | Position (°2θ) | Rel. int. |
| --- | --- | --- |
| 4.026 | 22.08 | 79.6 |
| 3.451 | 25.82 | 26.1 |
| 3.151 | 28.32 | 29.4 |
| 2.621 | 34.21 | 68.7 |
| 2.482 | 36.19 | 100.0 |
| 2.442 | 36.81 | 36.8 |
| 2.059 | 43.98 | 34.4 |
| 2.015 | 44.99 | 44.4 |
| 1.950 | 46.58 | 28.3 |
| 1.401 | 66.77 | 21.7 |

Atomic structure:
```
data_PrAl8Fe2
_chemical_formula_sum 'Pr4 Al32 Fe8'
_cell_length_a 12.5694
_cell_length_b 14.3557
_cell_length_c 4.0300
_cell_angle_alpha 90.00
_cell_angle_beta 90.00
_cell_angle_gamma 90.00
_symmetry_space_group_name_H-M 'P 1'
_symmetry_Int_Tables_number 1
_symmetry_space_group_name_Hall 'P 1'
loop_
_atom_site_label
_atom_site_type_symbol
_atom_site_fract_x
_atom_site_fract_y
_atom_site_fract_z
_atom_site_occupancy
Pr1 Pr 0.1613 0.1813 0.0000 1
Pr2 Pr 0.3387 0.6813 0.0000 1
Pr3 Pr 0.6613 0.3187 0.0000 1
Pr4 Pr 0.8387 0.8187 0.0000 1
Al1 Al 0.0000 0.0000 0.0000 1
Al2 Al 0.0000 0.5000 0.5000 1
Al3 Al 0.0275 0.8679 0.5000 1
Al4 Al 0.0489 0.3225 0.5000 1
Al5 Al 0.0922 0.7465 0.0000 1
Al6 Al 0.1576 0.6216 0.5000 1
Al7 Al 0.1659 0.4565 0.0000 1
Al8 Al 0.1677 0.0080 0.5000 1
Al9 Al 0.2342 0.8304 0.5000 1
Al10 Al 0.2658 0.3304 0.5000 1
Al11 Al 0.3323 0.5080 0.5000 1
Al12 Al 0.3341 0.9565 0.0000 1
Al13 Al 0.3424 0.1216 0.5000 1
Al14 Al 0.4078 0.2465 0.0000 1
Al15 Al 0.4511 0.8225 0.5000 1
Al16 Al 0.4725 0.3679 0.5000 1
Al17 Al 0.5000 0.0000 0.5000 1
Al18 Al 0.5000 0.5000 0.0000 1
Al19 Al 0.5275 0.6321 0.5000 1
Al20 Al 0.5489 0.1775 0.5000 1
Al21 Al 0.5922 0.7535 0.0000 1
Al22 Al 0.6576 0.8784 0.5000 1
Al23 Al 0.6659 0.0435 0.0000 1
Al24 Al 0.6677 0.4920 0.5000 1
Al25 Al 0.7342 0.6696 0.5000 1
Al26 Al 0.7658 0.1696 0.5000 1
Al27 Al 0.8323 0.9920 0.5000 1
Al28 Al 0.8341 0.5435 0.0000 1
Al29 Al 0.8424 0.3784 0.5000 1
Al30 Al 0.9078 0.2535 0.0000 1
Al31 Al 0.9511 0.6775 0.5000 1
Al32 Al 0.9725 0.1321 0.5000 1
Fe1 Fe 0.0332 0.5899 0.0000 1
Fe2 Fe 0.1495 0.9025 0.0000 1
Fe3 Fe 0.3505 0.4025 0.0000 1
Fe4 Fe 0.4668 0.0899 0.0000 1
Fe5 Fe 0.5332 0.9101 0.0000 1
Fe6 Fe 0.6495 0.5975 0.0000 1
Fe7 Fe 0.8505 0.0975 0.0000 1
Fe8 Fe 0.9668 0.4101 0.0000 1
```